[1]
This entry pairs a crystal structure of LiTmZr2Rh4 with its simulated powder XRD pattern. Radiation: Cu Kα X-rays. Structure: a cell relaxed with GGA-PBE.
Peak positions follow from Bragg's law for the DFT cell and can differ from measured ones.

Top 12 peaks for 2θ = 10–80°, sorted by position:
d (Å)	2θ/deg	I_rel
7.526	11.76	17.7
3.913	22.72	19.4
2.983	29.96	14.7
2.507	35.82	6.3
2.301	39.15	97.9
2.294	39.27	100.0
2.194	41.14	5.3
1.693	54.18	7.4
1.625	56.66	32.8
1.591	57.95	3.9
1.330	70.87	15.1
1.325	71.14	49.5

Structural model:
```
LiTmZr2Rh4
1.0
2.294 1.324 7.526
-2.294 1.324 7.526
0.000 -2.649 7.526
Li Tm Zr Rh
1 1 2 4
Cartesian
0.000 0.000 0.000
0.000 0.000 11.289
0.000 0.000 5.801
0.000 0.000 16.777
0.000 0.000 2.790
0.000 0.000 8.476
0.000 0.000 14.102
0.000 0.000 19.788
```

[2]
This entry pairs a crystal structure of LiRhW2 with its simulated powder XRD pattern. Radiation: Cu Kα X-rays. Structure: a cell relaxed with GGA-PBE.
Peak positions follow from Bragg's law for the DFT cell and can differ from measured ones.

Top 12 peaks for 2θ = 10–80°, sorted by position:
d (Å)	2θ/deg	I_rel
5.089	17.43	51.8
3.266	27.31	65.6
2.265	39.79	23.6
2.248	40.10	53.9
2.184	41.34	100.0
2.162	41.78	96.0
2.129	42.46	47.7
1.546	59.83	33.5
1.290	73.40	17.3
1.276	74.31	18.5
1.239	76.92	16.3
1.235	77.22	15.9

Structural model:
```
LiRhW2
1.0
2.700 0.000 0.000
0.000 4.258 0.000
-0.682 0.000 5.089
Li Rh W
1 1 2
Cartesian
0.000 0.000 0.000
2.171 2.129 1.249
0.329 2.129 3.928
1.132 0.000 2.515
```